The following is a theoretical powder diffractogram of Ca2Tl5Br12. It was derived from a cell relaxed with PBE, using Cu Kα.
Lines closer than 0.1° are merged.

Largest 10 diffraction maxima, low angle first, 2θ from 10° to 90°:
19.00 deg, I = 69; 21.01 deg, I = 100; 28.06 deg, I = 32; 29.76 deg, I = 28; 29.97 deg, I = 34; 31.29 deg, I = 32; 33.95 deg, I = 29; 36.82 deg, I = 49; 40.20 deg, I = 30; 42.73 deg, I = 32

Cell and atoms:
```
data_Ca2Tl5Br12
_space_group_name_H-M_alt 'C 1 2/m 1'
_space_group_IT_number 12
_cell_length_a 18.052
_cell_length_b 8.467
_cell_length_c 9.809
_cell_angle_alpha 90.00
_cell_angle_beta 111.45
_cell_angle_gamma 90.00
loop_
_space_group_symop_operation_xyz
'x,y,z'
'-x,-y,-z'
'-x,y,-z'
'x,-y,z'
'x+1/2,y+1/2,z'
'-x+1/2,-y+1/2,-z'
'-x+1/2,y+1/2,-z'
'x+1/2,-y+1/2,z'
loop_
_atom_site_label
_atom_site_type_symbol
_atom_site_fract_x
_atom_site_fract_y
_atom_site_fract_z
Ca1 Ca 0.000 0.247 0.000
Tl1 Tl 0.000 0.500 0.500
Tl2 Tl 0.176 0.000 0.843
Tl3 Tl 0.214 0.000 0.358
Br1 Br 0.011 0.000 0.211
Br2 Br 0.021 0.500 0.212
Br3 Br 0.119 0.274 0.591
Br4 Br 0.171 0.240 0.085
```